(1)
This entry pairs a crystal structure of CaTm2Cd2 with its computed powder X-ray diffraction pattern. Radiation: λ = 1.5418 Å (Cu Kα). Structure: a cell relaxed with GGA-PBE.

Principal peaks in the range 2θ = 5–70°, by angle:
Position (°2θ)	I (rel.)
12.83	103
17.68	125
32.45	211
33.26	345
33.61	1000
47.16	147
49.37	91
58.63	95
59.67	186
60.83	96

Crystal structure
a b c (Å): 13.9197 13.9197 5.3863
angles (deg): 90.00 90.00 164.76
Atoms (fractional coordinates):
Ca 0.1462 0.8538 0.7500
Ca 0.8538 0.1462 0.2500
Tm 0.0468 0.9532 0.2500
Tm 0.2343 0.7657 0.2500
Tm 0.7657 0.2343 0.7500
Tm 0.9532 0.0468 0.7500
Cd 0.3583 0.6417 0.7500
Cd 0.4536 0.5464 0.2500
Cd 0.5464 0.4536 0.7500
Cd 0.6417 0.3583 0.2500

=====

(2)
This entry pairs a crystal structure of CaY2Cd2 with its computed powder X-ray diffraction pattern. Radiation: λ = 1.5418 Å (Cu Kα). Structure: a cell relaxed with GGA-PBE.

Principal peaks in the range 2θ = 5–70°, by angle:
Position (°2θ)	I (rel.)
6.35	113
32.15	220
32.99	272
33.15	1000
46.73	149
48.42	89
57.96	106
59.01	179
59.84	92
69.57	87

Crystal structure
a b c (Å): 14.0467 14.0467 5.4307
angles (deg): 90.00 90.00 164.62
Atoms (fractional coordinates):
Ca 0.1454 0.8546 0.7500
Ca 0.8546 0.1454 0.2500
Y 0.0473 0.9527 0.2500
Y 0.2344 0.7656 0.2500
Y 0.7656 0.2344 0.7500
Y 0.9527 0.0473 0.7500
Cd 0.3577 0.6423 0.7500
Cd 0.4539 0.5461 0.2500
Cd 0.5461 0.4539 0.7500
Cd 0.6423 0.3577 0.2500

=====

(3)
This entry pairs a crystal structure of CaYCd5 with its computed powder X-ray diffraction pattern. Radiation: λ = 1.5418 Å (Cu Kα). Structure: a cell relaxed with GGA-PBE.

Principal peaks in the range 2θ = 5–70°, by angle:
Position (°2θ)	I (rel.)
16.97	283
20.48	151
31.76	123
33.84	1000
34.34	934
38.49	661
41.65	269
58.00	379
66.36	230
67.27	237

Crystal structure
a b c (Å): 6.5432 8.6735 6.6915
angles (deg): 90.00 90.00 90.00
Atoms (fractional coordinates):
Ca 0.0000 0.0000 0.0000
Ca 0.5000 0.5000 0.0000
Y 0.0000 0.5000 0.5000
Y 0.5000 0.0000 0.5000
Cd 0.0000 0.5000 0.0000
Cd 0.2500 0.2500 0.2655
Cd 0.2500 0.2500 0.7345
Cd 0.2500 0.7500 0.2655
Cd 0.2500 0.7500 0.7345
Cd 0.5000 0.0000 0.0000
Cd 0.7500 0.2500 0.2655
Cd 0.7500 0.2500 0.7345
Cd 0.7500 0.7500 0.2655
Cd 0.7500 0.7500 0.7345

=====

(4)
This entry pairs a crystal structure of CaYCd6 with its computed powder X-ray diffraction pattern. Radiation: λ = 1.5418 Å (Cu Kα). Structure: a cell relaxed with GGA-PBE.

Principal peaks in the range 2θ = 5–70°, by angle:
Position (°2θ)	I (rel.)
30.18	178
32.15	161
35.24	1000
35.99	315
36.97	341
47.65	97
49.02	99
56.10	134
64.21	162
68.47	141

Crystal structure
a b c (Å): 4.9914 6.9931 11.1367
angles (deg): 90.00 90.00 90.00
Atoms (fractional coordinates):
Ca 0.0000 0.0000 0.0000
Ca 0.0000 0.5000 0.5000
Y 0.5000 0.0000 0.7109
Y 0.5000 0.5000 0.2109
Cd 0.0000 0.0000 0.5294
Cd 0.0000 0.2234 0.2652
Cd 0.0000 0.2766 0.7652
Cd 0.0000 0.5000 0.0294
Cd 0.0000 0.7234 0.7652
Cd 0.0000 0.7766 0.2652
Cd 0.5000 0.0000 0.1868
Cd 0.5000 0.2201 0.4457
Cd 0.5000 0.2799 0.9457
Cd 0.5000 0.5000 0.6868
Cd 0.5000 0.7201 0.9457
Cd 0.5000 0.7799 0.4457